[1]
Theoretical powder diffraction line list of DyCdGa for Cu Kα X-rays, from a structure optimized by DFT (PBE).
Peak positions follow from Bragg's law for the DFT cell and can differ from measured ones.

Largest 12 diffraction maxima, most intense first, 10° ≤ 2θ ≤ 90°:
- 2θ 35.1, rel. 100
- 2θ 32.0, rel. 100
- 2θ 37.8, rel. 53
- 2θ 41.0, rel. 32
- 2θ 57.0, rel. 31
- 2θ 68.4, rel. 26
- 2θ 56.8, rel. 26
- 2θ 43.1, rel. 15
- 2θ 52.4, rel. 13
- 2θ 70.9, rel. 13
- 2θ 28.4, rel. 12
- 2θ 68.7, rel. 12

Structure:
abc: 7.2649 7.2649 4.3980
angles: 90.00 90.00 120.00
Fractional coordinates of all 9 atoms:
Dy: 0.0000 0.4227 0.0000
Dy: 0.4227 0.0000 0.0000
Dy: 0.5773 0.5773 0.0000
Cd: 0.0000 0.7525 0.5000
Cd: 0.2475 0.2475 0.5000
Cd: 0.7525 0.0000 0.5000
Ga: 0.0000 0.0000 0.0000
Ga: 0.3333 0.6667 0.5000
Ga: 0.6667 0.3333 0.5000

[2]
Theoretical powder diffraction line list of Dy2CdGe2 for Cu Kα X-rays, from a structure optimized by DFT (PBE).
Peak positions follow from Bragg's law for the DFT cell and can differ from measured ones.

Largest 12 diffraction maxima, most intense first, 10° ≤ 2θ ≤ 90°:
- 2θ 34.7, rel. 100
- 2θ 32.4, rel. 49
- 2θ 39.0, rel. 31
- 2θ 56.3, rel. 23
- 2θ 73.3, rel. 20
- 2θ 69.3, rel. 19
- 2θ 42.9, rel. 19
- 2θ 27.3, rel. 18
- 2θ 59.3, rel. 18
- 2θ 51.6, rel. 15
- 2θ 57.9, rel. 11
- 2θ 88.9, rel. 9

Structure:
abc: 7.3027 7.3027 4.2175
angles: 90.00 90.00 90.00
Fractional coordinates of all 10 atoms:
Dy: 0.1779 0.3221 0.0000
Dy: 0.3221 0.8221 0.0000
Dy: 0.6779 0.1779 0.0000
Dy: 0.8221 0.6779 0.0000
Cd: 0.0000 0.0000 0.5000
Cd: 0.5000 0.5000 0.5000
Ge: 0.1224 0.6224 0.5000
Ge: 0.3776 0.1224 0.5000
Ge: 0.6224 0.8776 0.5000
Ge: 0.8776 0.3776 0.5000

[3]
Theoretical powder diffraction line list of DyCdIn for Cu Kα X-rays, from a structure optimized by DFT (PBE).
Peak positions follow from Bragg's law for the DFT cell and can differ from measured ones.

Largest 12 diffraction maxima, most intense first, 10° ≤ 2θ ≤ 90°:
- 2θ 32.1, rel. 100
- 2θ 36.8, rel. 78
- 2θ 49.6, rel. 29
- 2θ 63.4, rel. 28
- 2θ 62.9, rel. 16
- 2θ 42.3, rel. 14
- 2θ 66.3, rel. 13
- 2θ 87.2, rel. 12
- 2θ 78.3, rel. 8
- 2θ 24.2, rel. 8
- 2θ 86.8, rel. 7
- 2θ 70.1, rel. 6

Structure:
abc: 4.8834 4.8834 7.4171
angles: 90.00 90.00 120.00
Fractional coordinates of all 6 atoms:
Dy: 0.0000 0.0000 0.2375
Dy: 0.0000 0.0000 0.7625
Cd: 0.3333 0.6667 0.9738
Cd: 0.6667 0.3333 0.0262
In: 0.3333 0.6667 0.5521
In: 0.6667 0.3333 0.4479

[4]
Theoretical powder diffraction line list of Dy2CdIn for Cu Kα X-rays, from a structure optimized by DFT (PBE).
Peak positions follow from Bragg's law for the DFT cell and can differ from measured ones.

Largest 9 diffraction maxima, most intense first, 10° ≤ 2θ ≤ 90°:
- 2θ 33.8, rel. 100
- 2θ 60.4, rel. 37
- 2θ 48.5, rel. 18
- 2θ 81.0, rel. 16
- 2θ 71.1, rel. 11
- 2θ 23.7, rel. 3
- 2θ 54.7, rel. 1
- 2θ 41.7, rel. 1
- 2θ 76.1, rel. 1

Structure:
abc: 5.3066 5.3066 5.3066
angles: 60.00 60.00 60.00
Fractional coordinates of all 4 atoms:
Dy: 0.2500 0.2500 0.2500
Dy: 0.7500 0.7500 0.7500
Cd: 0.0000 0.0000 0.0000
In: 0.5000 0.5000 0.5000

[5]
Theoretical powder diffraction line list of DyLuCd2 for Cu Kα X-rays, from a structure optimized by DFT (PBE).
Peak positions follow from Bragg's law for the DFT cell and can differ from measured ones.

Largest 10 diffraction maxima, most intense first, 10° ≤ 2θ ≤ 90°:
- 2θ 34.1, rel. 100
- 2θ 61.1, rel. 36
- 2θ 49.1, rel. 18
- 2θ 82.1, rel. 16
- 2θ 71.9, rel. 11
- 2θ 24.0, rel. 4
- 2θ 55.3, rel. 2
- 2θ 42.1, rel. 1
- 2θ 77.0, rel. 1
- 2θ 87.0, rel. 1

Structure:
abc: 5.2524 5.2524 5.2524
angles: 60.00 60.00 60.00
Fractional coordinates of all 4 atoms:
Dy: 0.0000 0.0000 0.0000
Lu: 0.5000 0.5000 0.5000
Cd: 0.2500 0.2500 0.2500
Cd: 0.7500 0.7500 0.7500

[6]
Theoretical powder diffraction line list of DyMgCd2 for Cu Kα X-rays, from a structure optimized by DFT (PBE).
Peak positions follow from Bragg's law for the DFT cell and can differ from measured ones.

Largest 12 diffraction maxima, most intense first, 10° ≤ 2θ ≤ 90°:
- 2θ 35.2, rel. 100
- 2θ 63.1, rel. 35
- 2θ 21.3, rel. 24
- 2θ 50.6, rel. 17
- 2θ 85.0, rel. 15
- 2θ 41.5, rel. 13
- 2θ 74.3, rel. 11
- 2θ 55.5, rel. 6
- 2θ 67.4, rel. 4
- 2θ 78.4, rel. 4
- 2θ 88.9, rel. 2
- 2θ 24.7, rel. 1

Structure:
abc: 5.1040 5.1040 5.1040
angles: 60.00 60.00 60.00
Fractional coordinates of all 4 atoms:
Dy: 0.0000 0.0000 0.0000
Mg: 0.5000 0.5000 0.5000
Cd: 0.2500 0.2500 0.2500
Cd: 0.7500 0.7500 0.7500